[1]
Simulated X-ray diffraction stick pattern
Compound: RbTa3Sn5
Radiation: Cu Kα (λ = 1.5418 Å)
Structure: a structure optimized by DFT (GGA-PBE)

Principal peaks in the range 15° ≤ 2θ ≤ 90°, by intensity:
Position (°2θ)	d/Å	Rel. int.
41.92	2.155	100
37.79	2.381	55
31.32	2.856	31
30.52	2.929	31
37.56	2.394	25
65.35	1.428	22
27.15	3.285	22
41.09	2.197	22
17.93	4.946	20
36.32	2.473	20

Cell and atoms:
```
data_RbTa3Sn5
_symmetry_space_group_name_H-M 'P 6/m m m'
_symmetry_Int_Tables_number 191
_symmetry_space_group_name_Hall '-P 6 2'
_cell_length_a 5.7117
_cell_length_b 5.7117
_cell_length_c 8.7873
_cell_angle_alpha 90.00
_cell_angle_beta 90.00
_cell_angle_gamma 120.00
loop_
_atom_site_label
_atom_site_type_symbol
_atom_site_fract_x
_atom_site_fract_y
_atom_site_fract_z
Rb1 Rb 0.0000 0.0000 0.0000
Ta1 Ta 0.0000 0.5000 0.5000
Sn1 Sn 0.0000 0.0000 0.5000
Sn2 Sn 0.3333 0.6667 0.2168
```

[2]
Simulated X-ray diffraction stick pattern
Compound: RbTlZnSn
Radiation: Cu Kα (λ = 1.5418 Å)
Structure: a structure optimized by DFT (GGA-PBE)

Principal peaks in the range 15° ≤ 2θ ≤ 90°, by intensity:
Position (°2θ)	d/Å	Rel. int.
28.85	3.095	100
35.53	2.527	28
24.04	3.702	27
34.59	2.593	26
40.16	2.245	25
27.97	3.190	21
31.73	2.820	21
39.55	2.279	19
31.41	2.848	17
54.77	1.676	17

Cell and atoms:
```
data_RbTlZnSn
_symmetry_space_group_name_H-M 'A m m 2'
_symmetry_Int_Tables_number 38
_cell_length_a 5.639
_cell_length_b 12.649
_cell_length_c 7.736
_cell_angle_alpha 90.00
_cell_angle_beta 90.00
_cell_angle_gamma 90.00
loop_
_symmetry_equiv_pos_as_xyz
'x,y,z'
'-x,-y,z'
'-x,y,z'
'x,-y,z'
'x,y+1/2,z+1/2'
'-x,-y+1/2,z+1/2'
'-x,y+1/2,z+1/2'
'x,-y+1/2,z+1/2'
loop_
_atom_site_label
_atom_site_type_symbol
_atom_site_fract_x
_atom_site_fract_y
_atom_site_fract_z
Rb1 Rb 0.000 0.193 0.000
Tl1 Tl 0.500 0.137 0.316
Zn1 Zn 0.244 0.000 0.666
Sn1 Sn 0.000 0.000 0.365
Sn2 Sn 0.500 0.000 0.952
```

[3]
Simulated X-ray diffraction stick pattern
Compound: RbZnSn3
Radiation: Cu Kα (λ = 1.5418 Å)
Structure: a structure optimized by DFT (GGA-PBE)

Principal peaks in the range 15° ≤ 2θ ≤ 90°, by intensity:
Position (°2θ)	d/Å	Rel. int.
35.57	2.524	100
29.38	3.040	76
29.17	3.062	75
28.85	3.095	51
39.82	2.264	33
39.65	2.273	32
42.42	2.131	29
15.08	5.876	26
74.78	1.270	21
60.24	1.536	20

Cell and atoms:
```
data_RbZnSn3
_symmetry_space_group_name_H-M 'C m c m'
_symmetry_Int_Tables_number 63
_symmetry_space_group_name_Hall '-C 2c 2'
_cell_length_a 7.175
_cell_length_b 11.751
_cell_length_c 7.104
_cell_angle_alpha 90.00
_cell_angle_beta 90.00
_cell_angle_gamma 90.00
loop_
_atom_site_label
_atom_site_type_symbol
_atom_site_fract_x
_atom_site_fract_y
_atom_site_fract_z
Rb1 Rb 0.000 0.242 0.250
Zn1 Zn 0.000 0.372 0.750
Sn1 Sn 0.000 0.137 0.750
Sn2 Sn 0.233 0.500 0.000
```

[4]
Simulated X-ray diffraction stick pattern
Compound: RbZr3Sn5
Radiation: Cu Kα (λ = 1.5418 Å)
Structure: a structure optimized by DFT (GGA-PBE)

Principal peaks in the range 15° ≤ 2θ ≤ 90°, by intensity:
Position (°2θ)	d/Å	Rel. int.
29.01	3.078	100
41.16	2.193	93
35.63	2.520	55
28.56	3.126	46
60.12	1.539	34
34.88	2.572	34
31.29	2.859	29
71.43	1.321	26
45.98	1.974	26
51.42	1.777	21

Cell and atoms:
```
data_RbZr3Sn5
_symmetry_space_group_name_H-M 'P 6/m m m'
_symmetry_Int_Tables_number 191
_symmetry_space_group_name_Hall '-P 6 2'
_cell_length_a 6.1561
_cell_length_b 6.1561
_cell_length_c 7.7167
_cell_angle_alpha 90.00
_cell_angle_beta 90.00
_cell_angle_gamma 120.00
loop_
_atom_site_label
_atom_site_type_symbol
_atom_site_fract_x
_atom_site_fract_y
_atom_site_fract_z
Rb1 Rb 0.0000 0.0000 0.0000
Zr1 Zr 0.0000 0.5000 0.5000
Sn1 Sn 0.0000 0.0000 0.5000
Sn2 Sn 0.3333 0.6667 0.1854
```

[5]
Simulated X-ray diffraction stick pattern
Compound: Rb2TeW6
Radiation: Cu Kα (λ = 1.5418 Å)
Structure: a structure optimized by DFT (GGA-PBE)

Principal peaks in the range 15° ≤ 2θ ≤ 90°, by intensity:
Position (°2θ)	d/Å	Rel. int.
31.55	2.836	100
15.62	5.672	79
39.90	2.260	78
48.12	1.891	64
18.17	4.883	54
36.81	2.442	53
40.21	2.243	34
17.84	4.972	30
36.13	2.486	27
48.39	1.881	25

Cell and atoms:
```
data_Rb2TeW6
_symmetry_space_group_name_H-M 'I 4/m'
_symmetry_Int_Tables_number 87
_symmetry_space_group_name_Hall '-I 4'
_cell_length_a 6.906
_cell_length_b 6.906
_cell_length_c 9.943
_cell_angle_alpha 90.00
_cell_angle_beta 90.00
_cell_angle_gamma 90.00
loop_
_atom_site_label
_atom_site_type_symbol
_atom_site_fract_x
_atom_site_fract_y
_atom_site_fract_z
Rb1 Rb 0.000 0.500 0.250
Te1 Te 0.000 0.000 0.000
W1 W 0.000 0.000 0.317
W2 W 0.174 0.802 0.500
```

[6]
Simulated X-ray diffraction stick pattern
Compound: RbZr3Te6
Radiation: Cu Kα (λ = 1.5418 Å)
Structure: a structure optimized by DFT (GGA-PBE)

Principal peaks in the range 15° ≤ 2θ ≤ 90°, by intensity:
Position (°2θ)	d/Å	Rel. int.
28.09	3.177	100
44.82	2.022	51
30.00	2.978	51
37.86	2.376	33
47.83	1.902	33
34.95	2.567	32
32.31	2.770	20
53.73	1.706	16
84.84	1.143	13
71.49	1.320	13

Cell and atoms:
```
data_RbZr3Te6
_symmetry_space_group_name_H-M 'P -3 m 1'
_symmetry_Int_Tables_number 164
_symmetry_space_group_name_Hall '-P 3 2"'
_cell_length_a 4.0441
_cell_length_b 4.0441
_cell_length_c 22.6435
_cell_angle_alpha 90.00
_cell_angle_beta 90.00
_cell_angle_gamma 120.00
loop_
_atom_site_label
_atom_site_type_symbol
_atom_site_fract_x
_atom_site_fract_y
_atom_site_fract_z
Rb1 Rb 0.0000 0.0000 0.0000
Zr1 Zr 0.0000 0.0000 0.2013
Zr2 Zr 0.0000 0.0000 0.5000
Te1 Te 0.3333 0.6667 0.2780
Te2 Te 0.3333 0.6667 0.5783
Te3 Te 0.3333 0.6667 0.8794
```

[7]
Simulated X-ray diffraction stick pattern
Compound: RbZn
Radiation: Cu Kα (λ = 1.5418 Å)
Structure: a structure optimized by DFT (GGA-PBE)

Principal peaks in the range 15° ≤ 2θ ≤ 90°, by intensity:
Position (°2θ)	d/Å	Rel. int.
24.90	3.575	100
29.63	3.015	90
36.26	2.477	79
27.54	3.239	63
35.01	2.563	57
30.76	2.907	40
62.20	1.492	33
45.11	2.010	32
35.50	2.529	30
36.73	2.447	28

Cell and atoms:
```
data_RbZn
_symmetry_space_group_name_H-M 'P b c m'
_symmetry_Int_Tables_number 57
_cell_length_a 9.716
_cell_length_b 5.814
_cell_length_c 5.127
_cell_angle_alpha 90.00
_cell_angle_beta 90.00
_cell_angle_gamma 90.00
loop_
_symmetry_equiv_pos_as_xyz
'x,y,z'
'-x,-y,-z'
'-x,-y,z+1/2'
'x,y,-z+1/2'
'x,-y+1/2,-z'
'-x,y+1/2,z'
'-x,y+1/2,-z+1/2'
'x,-y+1/2,z+1/2'
loop_
_atom_site_label
_atom_site_type_symbol
_atom_site_fract_x
_atom_site_fract_y
_atom_site_fract_z
Rb1 Rb 0.201 0.015 0.250
Zn1 Zn 0.459 0.595 0.250
```

[8]
Simulated X-ray diffraction stick pattern
Compound: RbZn
Radiation: Cu Kα (λ = 1.5418 Å)
Structure: a structure optimized by DFT (GGA-PBE)

Principal peaks in the range 15° ≤ 2θ ≤ 90°, by intensity:
Position (°2θ)	d/Å	Rel. int.
26.25	3.395	100
31.48	2.842	85
24.64	3.612	83
36.40	2.468	64
29.55	3.023	53
24.19	3.679	51
39.16	2.300	50
23.85	3.731	41
47.76	1.904	38
53.89	1.701	27

Cell and atoms:
```
data_RbZn
_symmetry_space_group_name_H-M 'P m m 2'
_symmetry_Int_Tables_number 25
_cell_length_a 4.601
_cell_length_b 19.129
_cell_length_c 7.359
_cell_angle_alpha 90.00
_cell_angle_beta 90.00
_cell_angle_gamma 90.00
loop_
_symmetry_equiv_pos_as_xyz
'x,y,z'
'-x,-y,z'
'-x,y,z'
'x,-y,z'
loop_
_atom_site_label
_atom_site_type_symbol
_atom_site_fract_x
_atom_site_fract_y
_atom_site_fract_z
Rb1 Rb 0.000 0.096 0.000
Rb2 Rb 0.000 0.199 0.494
Rb3 Rb 0.500 0.301 0.992
Rb4 Rb 0.500 0.404 0.488
Zn1 Zn 0.000 0.000 0.511
Zn2 Zn 0.000 0.432 0.863
Zn3 Zn 0.000 0.500 0.178
Zn4 Zn 0.500 0.000 0.311
Zn5 Zn 0.500 0.068 0.625
Zn6 Zn 0.500 0.500 0.980
```

[9]
Simulated X-ray diffraction stick pattern
Compound: RbZr2
Radiation: Cu Kα (λ = 1.5418 Å)
Structure: a structure optimized by DFT (GGA-PBE)

Principal peaks in the range 15° ≤ 2θ ≤ 90°, by intensity:
Position (°2θ)	d/Å	Rel. int.
33.37	2.685	100
38.44	2.342	20
35.53	2.527	17
66.32	1.409	13
45.93	1.976	12
41.97	2.153	12
39.02	2.309	12
25.94	3.435	11
17.55	5.054	11
53.34	1.718	10

Cell and atoms:
```
data_RbZr2
_symmetry_space_group_name_H-M 'P m m n'
_symmetry_Int_Tables_number 59
_cell_length_a 4.684
_cell_length_b 8.611
_cell_length_c 10.107
_cell_angle_alpha 90.00
_cell_angle_beta 90.00
_cell_angle_gamma 90.00
loop_
_symmetry_equiv_pos_as_xyz
'x,y,z'
'-x,-y,-z'
'-x+1/2,-y+1/2,z'
'x+1/2,y+1/2,-z'
'x+1/2,-y,-z'
'-x+1/2,y,z'
'-x,y+1/2,-z'
'x,-y+1/2,z'
loop_
_atom_site_label
_atom_site_type_symbol
_atom_site_fract_x
_atom_site_fract_y
_atom_site_fract_z
Rb1 Rb 0.250 0.035 0.110
Zr1 Zr 0.250 0.250 0.412
Zr2 Zr 0.250 0.506 0.601
Zr3 Zr 0.250 0.750 0.392
```

[10]
Simulated X-ray diffraction stick pattern
Compound: Re
Radiation: Cu Kα (λ = 1.5418 Å)
Structure: a structure optimized by DFT (GGA-PBE)

Principal peaks in the range 15° ≤ 2θ ≤ 90°, by intensity:
Position (°2θ)	d/Å	Rel. int.
39.81	2.265	100
46.70	1.945	64
41.16	2.193	30
81.96	1.176	25
67.23	1.393	22
69.13	1.359	20
81.07	1.186	13
83.73	1.155	12
85.82	1.132	12
89.34	1.097	4

Cell and atoms:
```
data_Re
_symmetry_space_group_name_H-M 'R -3 m'
_symmetry_Int_Tables_number 166
_symmetry_space_group_name_Hall '-R 3 2"'
_cell_length_a 2.7850
_cell_length_b 2.7850
_cell_length_c 6.5793
_cell_angle_alpha 90.00
_cell_angle_beta 90.00
_cell_angle_gamma 120.00
loop_
_atom_site_label
_atom_site_type_symbol
_atom_site_fract_x
_atom_site_fract_y
_atom_site_fract_z
Re1 Re 0.0000 0.0000 0.0000
```

[11]
Simulated X-ray diffraction stick pattern
Compound: Re
Radiation: Cu Kα (λ = 1.5418 Å)
Structure: a structure optimized by DFT (GGA-PBE)

Principal peaks in the range 15° ≤ 2θ ≤ 90°, by intensity:
Position (°2θ)	d/Å	Rel. int.
41.71	2.166	100
43.94	2.060	86
40.42	2.232	51
81.81	1.177	41
37.74	2.383	37
67.60	1.386	34
72.80	1.299	20
77.52	1.231	17
38.56	2.335	15
52.76	1.735	14

Cell and atoms:
```
data_Re
_symmetry_space_group_name_H-M 'R -3 m'
_symmetry_Int_Tables_number 166
_symmetry_space_group_name_Hall '-R 3 2"'
_cell_length_a 2.7716
_cell_length_b 2.7716
_cell_length_c 20.0841
_cell_angle_alpha 90.00
_cell_angle_beta 90.00
_cell_angle_gamma 120.00
loop_
_atom_site_label
_atom_site_type_symbol
_atom_site_fract_x
_atom_site_fract_y
_atom_site_fract_z
Re1 Re 0.0000 0.0000 0.0000
Re2 Re 0.0000 0.0000 0.2222
```

[12]
Simulated X-ray diffraction stick pattern
Compound: ReS2
Radiation: Cu Kα (λ = 1.5418 Å)
Structure: a structure optimized by DFT (GGA-PBE)

Principal peaks in the range 15° ≤ 2θ ≤ 90°, by intensity:
Position (°2θ)	d/Å	Rel. int.
38.64	2.330	100
33.20	2.699	96
47.96	1.897	58
34.21	2.621	37
41.98	2.152	33
16.91	5.242	29
27.30	3.267	26
45.01	2.014	23
59.83	1.546	22
51.45	1.776	19

Cell and atoms:
```
data_ReS2
_symmetry_space_group_name_H-M 'P m n 21'
_symmetry_Int_Tables_number 31
_cell_length_a 3.148
_cell_length_b 5.723
_cell_length_c 13.066
_cell_angle_alpha 90.00
_cell_angle_beta 90.00
_cell_angle_gamma 90.00
loop_
_symmetry_equiv_pos_as_xyz
'x,y,z'
'-x+1/2,-y,z+1/2'
'-x,y,z'
'x+1/2,-y,z+1/2'
loop_
_atom_site_label
_atom_site_type_symbol
_atom_site_fract_x
_atom_site_fract_y
_atom_site_fract_z
Re1 Re 0.000 0.021 0.000
Re2 Re 0.000 0.578 0.496
S1 S 0.000 0.204 0.399
S2 S 0.000 0.298 0.869
S3 S 0.000 0.647 0.097
S4 S 0.000 0.855 0.628
```

[13]
Simulated X-ray diffraction stick pattern
Compound: ReTe2Se2S
Radiation: Cu Kα (λ = 1.5418 Å)
Structure: a structure optimized by DFT (GGA-PBE)

Principal peaks in the range 15° ≤ 2θ ≤ 90°, by intensity:
Position (°2θ)	d/Å	Rel. int.
31.11	2.875	100
32.70	2.738	74
34.71	2.584	65
28.90	3.089	49
45.93	1.976	49
44.61	2.031	36
25.32	3.518	30
48.65	1.871	27
45.57	1.991	26
33.73	2.657	22

Cell and atoms:
```
data_ReTe2Se2S
_symmetry_space_group_name_H-M 'P -1'
_symmetry_Int_Tables_number 2
_cell_length_a 7.006
_cell_length_b 7.049
_cell_length_c 7.987
_cell_angle_alpha 63.83
_cell_angle_beta 72.38
_cell_angle_gamma 71.47
loop_
_symmetry_equiv_pos_as_xyz
'x,y,z'
'-x,-y,-z'
loop_
_atom_site_label
_atom_site_type_symbol
_atom_site_fract_x
_atom_site_fract_y
_atom_site_fract_z
Re1 Re 0.005 0.292 0.496
Te1 Te 0.015 0.250 0.022
Te2 Te 0.258 0.816 0.149
Se1 Se 0.198 0.881 0.602
Se2 Se 0.240 0.367 0.630
S1 S 0.225 0.345 0.209
```

[14]
Simulated X-ray diffraction stick pattern
Compound: Re2TeSe2S
Radiation: Cu Kα (λ = 1.5418 Å)
Structure: a structure optimized by DFT (GGA-PBE)

Principal peaks in the range 15° ≤ 2θ ≤ 90°, by intensity:
Position (°2θ)	d/Å	Rel. int.
35.01	2.563	100
34.89	2.571	87
35.43	2.534	84
43.17	2.096	54
30.43	2.937	44
47.74	1.905	35
47.50	1.914	32
45.56	1.991	29
30.85	2.899	29
42.51	2.126	28

Cell and atoms:
```
data_Re2TeSe2S
_symmetry_space_group_name_H-M 'P -1'
_symmetry_Int_Tables_number 2
_cell_length_a 6.717
_cell_length_b 6.836
_cell_length_c 7.166
_cell_angle_alpha 92.61
_cell_angle_beta 103.50
_cell_angle_gamma 118.99
loop_
_symmetry_equiv_pos_as_xyz
'x,y,z'
'-x,-y,-z'
loop_
_atom_site_label
_atom_site_type_symbol
_atom_site_fract_x
_atom_site_fract_y
_atom_site_fract_z
Re1 Re 0.016 0.209 0.004
Re2 Re 0.430 0.184 0.009
Te1 Te 0.217 0.833 0.723
Se1 Se 0.250 0.638 0.177
Se2 Se 0.283 0.392 0.790
S1 S 0.232 0.109 0.251
```